Computed XRD peak list
Compound: Y3Co2
Radiation: CuKα
Structure: a crystal structure in the Materials Project, relaxed with PBE
Neutral-atom scattering factors, no anomalous dispersion.

Structural model:
```
data_Y3Co2
_chemical_formula_sum 'Y12 Co8'
_cell_length_a 9.424
_cell_length_b 12.226
_cell_length_c 3.967
_cell_angle_alpha 90.00
_cell_angle_beta 90.00
_cell_angle_gamma 90.00
_space_group_name_H-M_alt 'P n n m'
_space_group_IT_number 58
_space_group_name_Hall '-P 2 2n'
loop_
_atom_site_label
_atom_site_fract_x
_atom_site_fract_y
_atom_site_fract_z
Y1 0.072 0.136 0.000
Y2 0.127 0.613 0.000
Y3 0.195 0.372 0.500
Co1 0.117 0.962 0.500
Co2 0.140 0.769 0.500
```

The 6 most intense peaks (2θ from 10° to 90°), in order of rising 2θ:
d [Å]  2θ/deg  I (rel.)
3.056  29.2  13
2.794  32.0  18
2.719  32.9  100
2.345  38.4  24
1.983  45.7  19
1.487  62.4  12